Theoretical powder X-ray diffraction pattern of InCu15 for CuKα, from a cell relaxed with PBE.
Kinematic intensities with the Lorentz-polarization factor, no thermal factor.

Crystal structure
abc: 7.106 2.589 33.946
angles: 90.00 90.03 90.00
Positions (direct):
In1 0.125 0.250 0.296
In2 0.875 0.750 0.704
Cu1 0.124 0.250 0.832
Cu2 0.125 0.250 0.056
Cu3 0.125 0.250 0.131
Cu4 0.125 0.250 0.207
Cu5 0.125 0.250 0.907
Cu6 0.125 0.250 0.982
Cu7 0.126 0.250 0.756
Cu8 0.374 0.750 0.169
Cu9 0.375 0.750 0.019
Cu10 0.375 0.750 0.093
Cu11 0.375 0.750 0.721
Cu12 0.375 0.750 0.795
Cu13 0.375 0.750 0.869
Cu14 0.375 0.750 0.944
Cu15 0.376 0.750 0.244
Cu16 0.624 0.250 0.756
Cu17 0.625 0.250 0.056
Cu18 0.625 0.250 0.131
Cu19 0.625 0.250 0.205
Cu20 0.625 0.250 0.279
Cu21 0.625 0.250 0.907
Cu22 0.625 0.250 0.981
Cu23 0.626 0.250 0.831
Cu24 0.874 0.750 0.244
Cu25 0.875 0.750 0.018
Cu26 0.875 0.750 0.093
Cu27 0.875 0.750 0.793
Cu28 0.875 0.750 0.869
Cu29 0.875 0.750 0.944
Cu30 0.876 0.750 0.168

Principal peaks in the range 5° ≤ 2θ ≤ 70°, by angle:
- hkl 0 0 2, 16.973 Å, 2θ 5.21, rel. 100.0
- hkl 0 0 3, 11.315 Å, 2θ 7.81, rel. 4.5
- hkl 0 0 4, 8.486 Å, 2θ 10.42, rel. 12.0
- hkl 2 0 9, 2.585 Å, 2θ 34.70, rel. 3.8
- hkl 2 0 11, 2.330 Å, 2θ 38.64, rel. 5.1
- hkl 2 0 -12, 2.213 Å, 2θ 40.78, rel. 4.7
- hkl 2 0 13, 2.104 Å, 2θ 42.99, rel. 39.7
- hkl 2 1 0, 2.091 Å, 2θ 43.26, rel. 66.8
- hkl 2 0 14, 2.003 Å, 2θ 45.28, rel. 16.7
- hkl 0 1 13, 1.839 Å, 2θ 49.58, rel. 25.6
- hkl 4 0 0, 1.776 Å, 2θ 51.46, rel. 19.4
- hkl 0 1 14, 1.770 Å, 2θ 51.65, rel. 11.8

=====

Theoretical powder X-ray diffraction pattern of Cu7Ag3 for CuKα, from a cell relaxed with PBE.
Kinematic intensities with the Lorentz-polarization factor, no thermal factor.

Crystal structure
abc: 2.782 2.782 17.672
angles: 90.00 90.00 90.00
Positions (direct):
Cu1 0.000 0.000 0.000
Cu2 0.000 0.000 0.176
Cu3 0.000 0.000 0.354
Cu4 0.000 0.000 0.784
Cu5 0.500 0.500 0.088
Cu6 0.500 0.500 0.265
Cu7 0.500 0.500 0.442
Ag1 0.000 0.000 0.551
Ag2 0.500 0.500 0.676
Ag3 0.500 0.500 0.891

Principal peaks in the range 5° ≤ 2θ ≤ 70°, by angle:
- hkl 0 0 1, 17.672 Å, 2θ 5.00, rel. 5.4
- hkl 1 0 1, 2.748 Å, 2θ 32.58, rel. 2.6
- hkl 1 0 2, 2.654 Å, 2θ 33.78, rel. 2.3
- hkl 1 0 4, 2.354 Å, 2θ 38.23, rel. 26.3
- hkl 0 0 8, 2.209 Å, 2θ 40.85, rel. 3.1
- hkl 1 0 5, 2.186 Å, 2θ 41.30, rel. 100.0
- hkl 1 0 6, 2.022 Å, 2θ 44.81, rel. 11.5
- hkl 1 1 0, 1.967 Å, 2θ 46.16, rel. 57.5
- hkl 0 0 10, 1.767 Å, 2θ 51.73, rel. 3.9
- hkl 0 0 11, 1.606 Å, 2θ 57.35, rel. 3.4
- hkl 1 1 8, 1.469 Å, 2θ 63.30, rel. 3.2
- hkl 2 0 0, 1.391 Å, 2θ 67.34, rel. 25.3

=====

Theoretical powder X-ray diffraction pattern of SiAg2F6 for CuKα, from a cell relaxed with PBE.
Kinematic intensities with the Lorentz-polarization factor, no thermal factor.

Crystal structure
abc: 5.351 5.341 9.051
angles: 90.00 125.48 90.00
Positions (direct):
Si1 0.000 0.000 0.000
Si2 0.000 0.500 0.500
Ag1 0.254 0.002 0.751
Ag2 0.254 0.498 0.251
Ag3 0.746 0.502 0.749
Ag4 0.746 0.998 0.249
F1 0.202 0.000 0.231
F2 0.202 0.500 0.731
F3 0.231 0.733 0.512
F4 0.231 0.767 0.012
F5 0.245 0.220 0.013
F6 0.245 0.280 0.513
F7 0.755 0.720 0.487
F8 0.755 0.780 0.987
F9 0.769 0.233 0.988
F10 0.769 0.267 0.488
F11 0.798 0.000 0.769
F12 0.798 0.500 0.269

Principal peaks in the range 5° ≤ 2θ ≤ 70°, by angle:
- hkl 1 1 -1, 3.780 Å, 2θ 23.54, rel. 100.0
- hkl 0 0 2, 3.685 Å, 2θ 24.15, rel. 47.6
- hkl 0 2 0, 2.673 Å, 2θ 33.53, rel. 81.0
- hkl 1 1 1, 2.651 Å, 2θ 33.81, rel. 79.7
- hkl 1 1 -3, 2.626 Å, 2θ 34.14, rel. 77.9
- hkl 2 0 0, 2.179 Å, 2θ 41.44, rel. 43.6
- hkl 0 2 2, 2.162 Å, 2θ 41.77, rel. 86.4
- hkl 2 0 -4, 2.151 Å, 2θ 42.00, rel. 41.7
- hkl 2 2 -2, 1.890 Å, 2θ 48.15, rel. 75.4
- hkl 0 0 4, 1.843 Å, 2θ 49.46, rel. 34.8
- hkl 3 1 -3, 1.691 Å, 2θ 54.26, rel. 23.3
- hkl 3 1 -1, 1.545 Å, 2θ 59.87, rel. 15.5